Simulated powder XRD pattern
Compound: SrMg6Mo
Radiation: CuKα
Structure: a structure optimized by DFT (PBE)
Kinematic intensities with the Lorentz-polarization factor, no thermal factor.

Principal peaks in the range 2θ from 10° to 80°, sorted by position:
- hkl 1 1 0, 19.13°, I 375
- hkl 2 0 0, 27.19°, I 172
- hkl 1 1 1, 28.08°, I 259
- hkl 2 0 1, 34.21°, I 1000
- hkl 2 2 0, 38.83°, I 332
- hkl 0 0 2, 41.41°, I 153
- hkl 2 2 2, 58.06°, I 198
- hkl 4 2 1, 67.35°, I 214

Atomic structure:
```
SrMg6Mo
1.0
6.560 0.000 0.000
0.000 6.560 0.000
0.000 0.000 4.361
Sr Mg Mo
1 6 1
direct
0.000 0.000 0.000
0.000 0.500 0.000
0.284 0.284 0.500
0.284 0.716 0.500
0.500 0.000 0.000
0.716 0.284 0.500
0.716 0.716 0.500
0.500 0.500 0.000
```